Record 1
The following is a simulated powder diffraction line list of PaFeSi2Ni2. It was derived from the PBE geometry in Alexandria, using copper Kα.
No peak broadening, texture or thermal motion is included.

Largest 10 diffraction maxima, low angle first, 2θ from 5° to 70°:
(1 0 0), 4.361 Å, 20.4 deg, intensity 42.1; (1 0 1), 3.237 Å, 27.6 deg, intensity 44.5; (1 1 0), 3.084 Å, 29.0 deg, intensity 100.0; (1 1 1), 2.599 Å, 34.5 deg, intensity 51.8; (2 0 0), 2.181 Å, 41.4 deg, intensity 66.3; (1 0 2), 2.112 Å, 42.8 deg, intensity 93.2; (2 1 1), 1.809 Å, 50.5 deg, intensity 18.6; (2 2 0), 1.542 Å, 60.0 deg, intensity 21.7; (2 1 2), 1.517 Å, 61.1 deg, intensity 63.6; (3 1 0), 1.379 Å, 68.0 deg, intensity 17.1

a b c (Å): 4.3615 4.3615 4.8287
angles (deg): 90.00 90.00 90.00
Atoms (fractional coordinates):
Pa 0.0000 0.0000 0.0000
Fe 0.0000 0.0000 0.5000
Si 0.0000 0.5000 0.5000
Si 0.5000 0.0000 0.5000
Ni 0.5000 0.5000 0.2432
Ni 0.5000 0.5000 0.7568

Record 2
The following is a simulated powder diffraction line list of Tb5Pm2Ho5. It was derived from the PBE geometry in Alexandria, using copper Kα.
No peak broadening, texture or thermal motion is included.

Largest 5 diffraction maxima, low angle first, 2θ from 5° to 70°:
(1 2 2), 2.905 Å, 30.8 deg, intensity 100.0; (2 1 3), 2.516 Å, 35.7 deg, intensity 50.6; (3 3 1), 1.779 Å, 51.4 deg, intensity 36.1; (4 2 2), 1.517 Å, 61.1 deg, intensity 42.8; (2 4 4), 1.452 Å, 64.1 deg, intensity 12.3

a b c (Å): 6.1604 6.1636 11.7981
angles (deg): 79.96 85.05 60.03
Atoms (fractional coordinates):
Tb 0.0000 0.0000 0.0000
Tb 0.9999 0.2505 0.2495
Tb 0.0001 0.7495 0.7505
Tb 0.3332 0.8325 0.5003
Tb 0.6668 0.1675 0.4997
Pm 0.3333 0.0835 0.7503
Pm 0.6667 0.9165 0.2497
Ho 0.0000 0.5000 0.5000
Ho 0.3331 0.3346 0.9997
Ho 0.3334 0.5831 0.2497
Ho 0.6666 0.4169 0.7503
Ho 0.6669 0.6654 0.0003